# Ce4Nd3YSe8
Simulated X-ray diffraction stick pattern, a wavelength of 1.5418 Å. Input: DFT lattice parameters and positions (PBE).
Peak positions follow from Bragg's law for the DFT cell and can differ from measured ones.

Atomic structure:
```
data_Ce4Nd3YSe8
_chemical_formula_sum 'Ce4 Nd3 Y1 Se8'
_symmetry_space_group_name_H-M 'P 1'
_symmetry_Int_Tables_number 1
_symmetry_space_group_name_Hall 'P 1'
_cell_length_a 8.416
_cell_length_b 8.416
_cell_length_c 8.416
_cell_angle_alpha 59.79
_cell_angle_beta 59.79
_cell_angle_gamma 59.79
loop_
_atom_site_label
_atom_site_type_symbol
_atom_site_fract_x
_atom_site_fract_y
_atom_site_fract_z
_atom_site_occupancy
Ce1 Ce 0.000 0.000 0.000 1
Ce2 Ce 0.000 0.500 0.500 1
Ce3 Ce 0.500 0.000 0.500 1
Ce4 Ce 0.500 0.500 0.000 1
Nd1 Nd 0.000 0.000 0.500 1
Nd2 Nd 0.000 0.500 0.000 1
Nd3 Nd 0.500 0.000 0.000 1
Y1 Y 0.500 0.500 0.500 1
Se1 Se 0.251 0.251 0.251 1
Se2 Se 0.254 0.254 0.745 1
Se3 Se 0.254 0.745 0.254 1
Se4 Se 0.255 0.746 0.746 1
Se5 Se 0.745 0.254 0.254 1
Se6 Se 0.746 0.255 0.746 1
Se7 Se 0.746 0.746 0.255 1
Se8 Se 0.749 0.749 0.749 1
```

Top 10 peaks for 10° ≤ 2θ ≤ 80°, in order of rising 2θ:
Position (°2θ), I (rel.)
26.00, 9
30.08, 100
42.99, 37
43.14, 37
53.24, 7
53.49, 20
62.54, 12
70.84, 17
71.05, 17
78.99, 12

=====

# BaNbGeO6
Simulated X-ray diffraction stick pattern, a wavelength of 1.5418 Å. Input: DFT lattice parameters and positions (PBE).
Peak positions follow from Bragg's law for the DFT cell and can differ from measured ones.

Atomic structure:
```
data_BaNbGeO6
_chemical_formula_sum 'Ba1 Nb1 Ge1 O6'
_symmetry_space_group_name_H-M 'P 1'
_symmetry_Int_Tables_number 1
_symmetry_space_group_name_Hall 'P 1'
_cell_length_a 5.340
_cell_length_b 5.340
_cell_length_c 5.647
_cell_angle_alpha 90.00
_cell_angle_beta 90.00
_cell_angle_gamma 120.00
loop_
_atom_site_label
_atom_site_type_symbol
_atom_site_fract_x
_atom_site_fract_y
_atom_site_fract_z
_atom_site_occupancy
Ba1 Ba 0.000 0.000 0.000 1
Nb1 Nb 0.333 0.667 0.500 1
Ge1 Ge 0.667 0.333 0.500 1
O1 O 0.403 0.013 0.693 1
O2 O 0.403 0.391 0.307 1
O3 O 0.609 0.013 0.307 1
O4 O 0.609 0.597 0.693 1
O5 O 0.987 0.391 0.693 1
O6 O 0.987 0.597 0.307 1
```

Top 10 peaks for 10° ≤ 2θ ≤ 80°, in order of rising 2θ:
Position (°2θ), I (rel.)
24.89, 100
31.69, 9
33.57, 30
42.24, 19
46.83, 39
52.49, 10
55.00, 21
60.02, 10
63.76, 9
76.10, 9